[1]
For FePC, a DFT-relaxed cell (PBE, Alexandria) gives the theoretical X-ray powder pattern in this record (Cu Kα X-rays).

The 12 most intense peaks (10 to 90 degrees two-theta), by angle:
(hkl)  2θ (°)  d_spacing  Rel. int.
0 0 2  20.38  4.357  19.8
0 1 1  32.98  2.716  100.0
1 0 2  40.33  2.236  80.9
0 0 4  41.45  2.178  23.2
0 1 3  44.47  2.037  9.1
1 1 1  48.41  1.880  29.4
1 0 4  54.94  1.671  10.0
1 1 3  57.41  1.605  54.2
0 1 5  62.41  1.488  21.7
0 2 0  65.28  1.429  10.2
1 2 2  79.60  1.204  19.0
2 1 1  82.03  1.175  11.9

Atomic structure:
a = 2.606 Å, b = 2.859 Å, c = 8.714 Å
α = 90.00°, β = 90.00°, γ = 90.00°
Space group Amm2 (No. 38)
One atom of each set of equivalent atoms:
Fe (0.000, 0.000, 0.000)
P (0.500, 0.000, 0.208)
C (0.500, 0.000, 0.833)

[2]
For FePC2, a DFT-relaxed cell (PBE, Alexandria) gives the theoretical X-ray powder pattern in this record (Cu Kα X-rays).

The 12 most intense peaks (10 to 90 degrees two-theta), by angle:
(hkl)  2θ (°)  d_spacing  Rel. int.
0 0 1  16.95  5.230  100.0
0 0 2  34.29  2.615  9.8
0 1 1  36.64  2.453  48.9
1 0 1  39.01  2.309  41.4
0 1 2  47.78  1.904  38.6
1 1 0  48.21  1.887  36.0
1 0 2  49.71  1.834  23.0
1 1 1  51.47  1.775  34.7
0 1 3  62.95  1.477  11.2
1 0 3  64.57  1.443  15.2
0 2 0  67.46  1.388  8.6
1 2 2  88.28  1.107  8.6

Atomic structure:
a = 2.573 Å, b = 2.777 Å, c = 5.230 Å
α = 90.00°, β = 90.00°, γ = 90.00°
Space group Pmm2 (No. 25)
One atom of each set of equivalent atoms:
Fe (0.000, 0.000, 0.000)
P (0.500, 0.500, 0.220)
C (0.000, 0.500, 0.695)
C (0.500, 0.500, 0.565)

[3]
For FePC2, a DFT-relaxed cell (PBE, Alexandria) gives the theoretical X-ray powder pattern in this record (Cu Kα X-rays).

The 12 most intense peaks (10 to 90 degrees two-theta), by angle:
(hkl)  2θ (°)  d_spacing  Rel. int.
0 0 1  18.81  4.717  100.0
0 1 -1  31.98  2.798  25.7
0 1 1  37.79  2.381  40.3
1 0 -1  39.08  2.305  25.2
1 0 1  41.56  2.173  24.6
0 1 -2  44.20  2.049  33.4
1 -1 0  44.79  2.024  30.7
1 1 0  48.16  1.889  21.5
1 1 -1  48.96  1.860  14.6
1 0 -2  50.95  1.792  14.3
0 1 2  53.06  1.726  19.2
1 0 2  54.98  1.670  13.1

Atomic structure:
a = 2.550 Å, b = 3.109 Å, c = 4.800 Å
α = 99.88°, β = 93.41°, γ = 93.35°
Space group P1 (No. 1)
One atom of each set of equivalent atoms:
Fe (0.000, 0.000, 0.000)
P (0.518, 0.562, 0.240)
C (0.058, 0.415, 0.732)
C (0.560, 0.528, 0.620)

[4]
For Sr2Fe2P2C, a DFT-relaxed cell (PBE, Alexandria) gives the theoretical X-ray powder pattern in this record (Cu Kα X-rays).

The 12 most intense peaks (10 to 90 degrees two-theta), by angle:
(hkl)  2θ (°)  d_spacing  Rel. int.
1 1 0  25.06  3.554  27.0
2 0 1  31.05  2.880  55.5
1 1 1  32.16  2.783  74.2
4 0 -1  33.92  2.643  25.0
3 1 -1  34.04  2.634  61.2
4 0 -2  34.23  2.619  43.6
1 1 -2  35.06  2.560  100.0
3 1 0  38.00  2.368  66.2
0 2 0  46.96  1.935  44.0
3 1 -4  57.39  1.606  38.1
1 1 3  58.53  1.577  33.6
7 1 -3  65.53  1.424  25.1

Atomic structure:
a = 10.799 Å, b = 3.870 Å, c = 7.077 Å
α = 90.00°, β = 123.74°, γ = 90.00°
Space group C2/m (No. 12)
One atom of each set of equivalent atoms:
Sr (0.058, 0.000, 0.315)
Fe (0.185, 0.500, 0.066)
P (0.199, 0.500, 0.763)
C (0.000, 0.500, 0.000)

[5]
For Pa2FeC4, a DFT-relaxed cell (PBE, Alexandria) gives the theoretical X-ray powder pattern in this record (Cu Kα X-rays).

The 12 most intense peaks (10 to 90 degrees two-theta), by angle:
(hkl)  2θ (°)  d_spacing  Rel. int.
2 0 0  24.35  3.655  14.8
1 2 1  28.26  3.158  100.0
1 3 0  30.23  2.956  19.0
2 1 1  31.57  2.834  42.5
0 0 2  35.47  2.531  20.2
0 4 0  37.09  2.424  15.0
3 1 0  38.08  2.363  20.2
2 0 2  43.49  2.081  14.7
0 4 2  52.26  1.751  18.7
4 1 1  54.19  1.693  14.9
1 2 3  59.36  1.557  14.0
3 3 2  59.97  1.543  19.6

Atomic structure:
a = 7.310 Å, b = 9.696 Å, c = 5.062 Å
α = 90.00°, β = 90.00°, γ = 90.00°
Space group Ibam (No. 72)
One atom of each set of equivalent atoms:
Pa (0.177, 0.140, 0.000)
Fe (0.000, 0.500, 0.250)
C (0.145, 0.127, 0.500)
C (0.164, 0.407, 0.000)

[6]
For Pa2FeSiC, a DFT-relaxed cell (PBE, Alexandria) gives the theoretical X-ray powder pattern in this record (Cu Kα X-rays).

The 12 most intense peaks (10 to 90 degrees two-theta), by angle:
(hkl)  2θ (°)  d_spacing  Rel. int.
0 0 2  25.10  3.549  16.7
1 1 0  27.32  3.264  100.0
2 0 0  31.33  2.855  35.5
2 0 -2  31.57  2.834  27.8
1 1 -2  32.84  2.727  52.2
0 1 2  33.85  2.648  21.4
1 0 2  34.61  2.592  16.6
1 1 2  41.59  2.172  16.0
1 1 -3  41.82  2.160  15.4
0 2 0  45.61  1.989  22.3
3 1 -2  50.16  1.819  15.1
3 1 0  53.36  1.717  15.0

Atomic structure:
a = 6.210 Å, b = 3.978 Å, c = 7.718 Å
α = 90.00°, β = 113.13°, γ = 90.00°
Space group P2_1/m (No. 11)
One atom of each set of equivalent atoms:
Pa (0.231, 0.250, 0.484)
Pa (0.238, 0.250, 0.906)
Fe (0.487, 0.250, 0.218)
Si (0.286, 0.750, 0.215)
C (0.171, 0.750, 0.682)

[7]
For Pa3Fe9SiC2, a DFT-relaxed cell (PBE, Alexandria) gives the theoretical X-ray powder pattern in this record (Cu Kα X-rays).

The 12 most intense peaks (10 to 90 degrees two-theta), by angle:
(hkl)  2θ (°)  d_spacing  Rel. int.
1 0 1  22.14  4.015  69.7
0 1 2  29.70  3.008  58.7
1 1 0  33.24  2.695  39.0
0 0 3  34.19  2.623  38.8
0 2 1  40.31  2.238  100.0
2 0 2  45.17  2.007  77.6
1 1 3  48.43  1.880  23.6
1 0 4  50.34  1.813  17.5
1 2 2  57.23  1.610  19.4
0 2 4  61.67  1.504  19.8
2 2 0  69.80  1.348  22.9
2 2 3  80.06  1.199  19.8

Atomic structure:
a = 5.3900 Å, b = 5.3900 Å, c = 7.8677 Å
α = 90.00°, β = 90.00°, γ = 120.00°
Space group P-3m1 (No. 164)
One atom of each set of equivalent atoms:
Pa (0.0000, 0.0000, 0.0000)
Pa (0.3333, 0.6667, 0.6542)
Fe (0.0000, 0.5000, 0.0000)
Fe (0.1672, 0.3345, 0.2797)
Si (0.0000, 0.0000, 0.5000)
C (0.3333, 0.6667, 0.1440)

[8]
For PaFeTcC, a DFT-relaxed cell (PBE, Alexandria) gives the theoretical X-ray powder pattern in this record (Cu Kα X-rays).

The 12 most intense peaks (10 to 90 degrees two-theta), by angle:
(hkl)  2θ (°)  d_spacing  Rel. int.
0 0 1  21.79  4.079  51.4
1 0 0  23.19  3.835  19.9
0 1 1  31.25  2.862  24.9
1 1 0  32.27  2.774  46.5
1 1 1  39.28  2.294  100.0
0 0 2  44.42  2.040  19.5
0 2 0  45.15  2.008  18.6
2 0 0  47.41  1.918  16.1
0 2 1  50.67  1.802  17.1
1 1 2  55.96  1.643  20.0
1 1 3  78.31  1.221  13.8
1 3 1  79.36  1.207  13.0

Atomic structure:
a = 3.835 Å, b = 4.017 Å, c = 4.079 Å
α = 90.00°, β = 90.00°, γ = 90.00°
Space group Pmmm (No. 47)
One atom of each set of equivalent atoms:
Pa (0.000, 0.000, 0.000)
Fe (0.000, 0.500, 0.500)
Tc (0.500, 0.500, 0.000)
C (0.500, 0.500, 0.500)

[9]
For Pm4Fe3C5, a DFT-relaxed cell (PBE, Alexandria) gives the theoretical X-ray powder pattern in this record (Cu Kα X-rays).

The 12 most intense peaks (10 to 90 degrees two-theta), by angle:
(hkl)  2θ (°)  d_spacing  Rel. int.
1 1 -1  25.51  3.491  44.2
2 0 -3  28.29  3.155  63.9
1 1 -2  29.88  2.990  22.5
2 0 2  31.02  2.883  35.9
4 0 -1  31.47  2.843  30.6
4 0 -2  32.09  2.789  30.2
3 1 -1  33.23  2.696  100.0
1 1 2  34.16  2.624  99.2
1 1 -3  36.73  2.447  36.7
3 1 1  39.01  2.309  31.0
0 2 0  47.66  1.908  38.6
4 0 -6  58.56  1.576  25.3

Atomic structure:
a = 11.429 Å, b = 3.817 Å, c = 9.628 Å
α = 90.00°, β = 112.90°, γ = 90.00°
Space group C2/m (No. 12)
One atom of each set of equivalent atoms:
Pm (0.104, 0.000, 0.398)
Pm (0.245, 0.500, 0.166)
Fe (0.000, 0.000, 0.000)
Fe (0.042, 0.500, 0.835)
C (0.000, 0.500, 0.000)
C (0.102, 0.500, 0.684)
C (0.184, 0.500, 0.614)

[10]
For TbPmFeC, a DFT-relaxed cell (PBE, Alexandria) gives the theoretical X-ray powder pattern in this record (Cu Kα X-rays).

The 12 most intense peaks (10 to 90 degrees two-theta), by angle:
(hkl)  2θ (°)  d_spacing  Rel. int.
0 0 2  15.84  5.595  21.9
0 0 3  23.86  3.730  32.8
1 0 1  25.11  3.546  48.1
0 0 4  32.00  2.797  25.2
1 1 1  34.87  2.573  25.9
1 1 2  37.63  2.390  100.0
1 0 4  40.27  2.240  16.8
2 0 0  48.71  1.869  30.2
1 1 5  53.66  1.708  19.4
2 0 3  54.96  1.671  20.0
2 0 4  59.47  1.554  16.8
3 1 2  83.58  1.157  19.8

Atomic structure:
a = 3.739 Å, b = 3.739 Å, c = 11.189 Å
α = 90.00°, β = 90.00°, γ = 90.00°
Space group P4/nmm (No. 129, origin choice 2)
One atom of each set of equivalent atoms:
Tb (0.250, 0.750, 0.000)
Pm (0.250, 0.250, 0.298)
Fe (0.250, 0.750, 0.500)
C (0.250, 0.250, 0.570)

[11]
For Pr2FeC4, a DFT-relaxed cell (PBE, Alexandria) gives the theoretical X-ray powder pattern in this record (Cu Kα X-rays).

The 12 most intense peaks (10 to 90 degrees two-theta), by angle:
(hkl)  2θ (°)  d_spacing  Rel. int.
1 2 1  26.94  3.310  100.0
1 3 0  28.47  3.135  44.6
2 1 1  30.40  2.940  69.1
0 0 2  34.18  2.623  24.2
0 4 0  34.72  2.584  16.2
3 1 0  36.71  2.448  29.9
1 1 2  37.31  2.410  23.1
2 0 2  41.92  2.155  16.9
3 3 0  44.55  2.034  14.7
0 4 2  49.52  1.841  26.7
2 5 1  53.46  1.714  19.3
3 3 2  57.32  1.607  32.5

Atomic structure:
a = 7.560 Å, b = 10.335 Å, c = 5.246 Å
α = 90.00°, β = 90.00°, γ = 90.00°
Space group Ibam (No. 72)
One atom of each set of equivalent atoms:
Pr (0.164, 0.143, 0.000)
Fe (0.000, 0.500, 0.250)
C (0.158, 0.422, 0.000)
C (0.172, 0.124, 0.500)

[12]
For Pr2Fe17C3, a DFT-relaxed cell (PBE, Alexandria) gives the theoretical X-ray powder pattern in this record (Cu Kα X-rays).

The 12 most intense peaks (10 to 90 degrees two-theta), by angle:
(hkl)  2θ (°)  d_spacing  Rel. int.
1 1 3  29.57  3.021  35.6
3 0 0  35.39  2.536  39.2
0 2 4  37.27  2.413  31.7
2 2 0  41.10  2.196  76.4
3 0 3  41.71  2.165  100.0
2 1 4  42.76  2.115  20.5
0 0 6  43.50  2.080  33.3
2 2 3  46.77  1.942  20.4
1 4 3  59.99  1.542  18.7
3 2 4  60.81  1.523  15.1
2 2 6  61.38  1.510  19.3
6 0 0  74.89  1.268  17.0

Atomic structure:
a = 8.7851 Å, b = 8.7851 Å, c = 12.4823 Å
α = 90.00°, β = 90.00°, γ = 120.00°
Space group R-3m (No. 166, hexagonal axes)
One atom of each set of equivalent atoms:
Pr (0.0000, 0.0000, 0.1531)
Fe (0.0000, 0.0000, 0.4053)
Fe (0.0000, 0.2844, 0.5000)
Fe (0.0000, 0.5000, 0.0000)
Fe (0.0137, 0.5068, 0.3469)
C (0.0000, 0.5000, 0.5000)

Repeat the sixth record exactly.
For Pa2FeSiC, a DFT-relaxed cell (PBE, Alexandria) gives the theoretical X-ray powder pattern in this record (Cu Kα X-rays).

The 12 most intense peaks (10 to 90 degrees two-theta), by angle:
(hkl)  2θ (°)  d_spacing  Rel. int.
0 0 2  25.10  3.549  16.7
1 1 0  27.32  3.264  100.0
2 0 0  31.33  2.855  35.5
2 0 -2  31.57  2.834  27.8
1 1 -2  32.84  2.727  52.2
0 1 2  33.85  2.648  21.4
1 0 2  34.61  2.592  16.6
1 1 2  41.59  2.172  16.0
1 1 -3  41.82  2.160  15.4
0 2 0  45.61  1.989  22.3
3 1 -2  50.16  1.819  15.1
3 1 0  53.36  1.717  15.0

Atomic structure:
a = 6.210 Å, b = 3.978 Å, c = 7.718 Å
α = 90.00°, β = 113.13°, γ = 90.00°
Space group P2_1/m (No. 11)
One atom of each set of equivalent atoms:
Pa (0.231, 0.250, 0.484)
Pa (0.238, 0.250, 0.906)
Fe (0.487, 0.250, 0.218)
Si (0.286, 0.750, 0.215)
C (0.171, 0.750, 0.682)

Repeat the sixth record exactly.
For Pa2FeSiC, a DFT-relaxed cell (PBE, Alexandria) gives the theoretical X-ray powder pattern in this record (Cu Kα X-rays).

The 12 most intense peaks (10 to 90 degrees two-theta), by angle:
(hkl)  2θ (°)  d_spacing  Rel. int.
0 0 2  25.10  3.549  16.7
1 1 0  27.32  3.264  100.0
2 0 0  31.33  2.855  35.5
2 0 -2  31.57  2.834  27.8
1 1 -2  32.84  2.727  52.2
0 1 2  33.85  2.648  21.4
1 0 2  34.61  2.592  16.6
1 1 2  41.59  2.172  16.0
1 1 -3  41.82  2.160  15.4
0 2 0  45.61  1.989  22.3
3 1 -2  50.16  1.819  15.1
3 1 0  53.36  1.717  15.0

Atomic structure:
a = 6.210 Å, b = 3.978 Å, c = 7.718 Å
α = 90.00°, β = 113.13°, γ = 90.00°
Space group P2_1/m (No. 11)
One atom of each set of equivalent atoms:
Pa (0.231, 0.250, 0.484)
Pa (0.238, 0.250, 0.906)
Fe (0.487, 0.250, 0.218)
Si (0.286, 0.750, 0.215)
C (0.171, 0.750, 0.682)